Starting from a PBE-relaxed structure, the X-ray powder pattern of AlIn5Cl8 was calculated for Cu Kα X-rays.
No peak broadening, texture or thermal motion is included.

Atomic structure:
Cell lengths 9.0020, 9.0020, 9.0020 Å; angles 119.86, 119.86, 90.25 degrees
Sites, in units of the cell vectors:
Al 0.0000 0.0000 0.0000
In 0.1304 0.3793 0.7571
In 0.2500 0.7500 0.5000
In 0.6207 0.3778 0.7511
In 0.6222 0.3733 0.2429
In 0.6267 0.8696 0.2489
Cl 0.2938 0.0946 0.1922
Cl 0.3885 0.1738 0.7811
Cl 0.3927 0.6074 0.2189
Cl 0.3926 0.6115 0.7852
Cl 0.8262 0.6073 0.2148
Cl 0.8985 0.7062 0.8009
Cl 0.9024 0.1015 0.8078
Cl 0.9054 0.0976 0.1991

Top 8 peaks for 10° ≤ 2θ ≤ 90°, by angle:
| Position (°2θ) | I_rel |
| --- | --- |
| 12.0 | 22 |
| 19.7 | 18 |
| 23.2 | 100 |
| 28.0 | 28 |
| 28.1 | 14 |
| 36.6 | 29 |
| 40.0 | 65 |
| 55.3 | 15 |

=====

Starting from a PBE-relaxed structure, the X-ray powder pattern of La3CI5 was calculated for Cu Kα X-rays.
No peak broadening, texture or thermal motion is included.

Atomic structure:
Cell lengths 8.1333, 9.8435, 9.9624 Å; angles 106.93, 96.95, 104.40 degrees
Sites, in units of the cell vectors:
La 0.0345 0.2323 0.4245
La 0.1091 0.5422 0.2760
La 0.3714 0.6347 0.6820
La 0.6286 0.3653 0.3180
La 0.8909 0.4578 0.7240
La 0.9655 0.7677 0.5755
C 0.0854 0.5301 0.5413
C 0.9146 0.4699 0.4587
I 0.0889 0.8725 0.3188
I 0.1965 0.2354 0.1466
I 0.2501 0.5842 0.9626
I 0.3377 0.9577 0.7741
I 0.4583 0.3088 0.5920
I 0.5417 0.6912 0.4080
I 0.6623 0.0423 0.2259
I 0.7499 0.4158 0.0374
I 0.8035 0.7646 0.8534
I 0.9111 0.1275 0.6812

Top 8 peaks for 10° ≤ 2θ ≤ 90°, by angle:
| Position (°2θ) | I_rel |
| --- | --- |
| 26.8 | 100 |
| 28.2 | 76 |
| 28.6 | 76 |
| 38.7 | 28 |
| 39.3 | 29 |
| 39.9 | 60 |
| 40.2 | 23 |
| 41.0 | 27 |

=====

Starting from a PBE-relaxed structure, the X-ray powder pattern of Sm2Dy5Er2 was calculated for Cu Kα X-rays.
No peak broadening, texture or thermal motion is included.

Atomic structure:
Cell lengths 10.0427, 10.0427, 10.0427 Å; angles 84.71, 108.35, 141.02 degrees
Sites, in units of the cell vectors:
Sm 0.0000 0.0000 0.0000
Sm 0.0000 0.5000 0.5000
Sm 0.9021 0.6612 0.7409
Sm 0.9203 0.1612 0.2591
Dy 0.0588 0.3630 0.7996
Dy 0.0588 0.7592 0.1958
Dy 0.3591 0.2670 0.3780
Dy 0.3591 0.4811 0.5922
Dy 0.3708 0.8662 0.0046
Dy 0.5635 0.2592 0.2004
Dy 0.5635 0.8630 0.8042
Dy 0.8616 0.3662 0.9954
Dy 0.8890 0.7670 0.4078
Dy 0.8890 0.9811 0.6220
Er 0.4580 0.5863 0.1252
Er 0.4580 0.8328 0.3717
Er 0.4610 0.0863 0.6283
Er 0.4610 0.3328 0.8748

Top 8 peaks for 10° ≤ 2θ ≤ 90°, by angle:
| Position (°2θ) | I_rel |
| --- | --- |
| 28.5 | 87 |
| 30.4 | 100 |
| 30.7 | 80 |
| 31.1 | 58 |
| 33.1 | 61 |
| 33.2 | 46 |
| 35.9 | 58 |
| 38.0 | 37 |

=====

Starting from a PBE-relaxed structure, the X-ray powder pattern of Ce6PuIn3 was calculated for Cu Kα X-rays.
No peak broadening, texture or thermal motion is included.

Atomic structure:
Cell lengths 8.3189, 8.3189, 8.3189 Å; angles 77.62, 77.62, 77.62 degrees
Sites, in units of the cell vectors:
Ce 0.0267 0.0267 0.6929
Ce 0.0267 0.6929 0.0267
Ce 0.3064 0.3064 0.6412
Ce 0.3064 0.6412 0.3064
Ce 0.3071 0.9733 0.9733
Ce 0.3588 0.6936 0.6936
Ce 0.6412 0.3064 0.3064
Ce 0.6929 0.0267 0.0267
Ce 0.6936 0.3588 0.6936
Ce 0.6936 0.6936 0.3588
Ce 0.9733 0.3071 0.9733
Ce 0.9733 0.9733 0.3071
Pu 0.0000 0.0000 0.0000
Pu 0.5000 0.5000 0.5000
In 0.0339 0.3559 0.3559
In 0.3559 0.0339 0.3559
In 0.3559 0.3559 0.0339
In 0.6441 0.6441 0.9661
In 0.6441 0.9661 0.6441
In 0.9661 0.6441 0.6441

Top 8 peaks for 10° ≤ 2θ ≤ 90°, by angle:
| Position (°2θ) | I_rel |
| --- | --- |
| 14.2 | 25 |
| 17.0 | 15 |
| 31.2 | 18 |
| 33.6 | 100 |
| 43.6 | 32 |
| 52.7 | 26 |
| 57.0 | 22 |
| 63.9 | 15 |

=====

Starting from a PBE-relaxed structure, the X-ray powder pattern of AlSb7 was calculated for Cu Kα X-rays.
No peak broadening, texture or thermal motion is included.

Atomic structure:
Cell lengths 6.7028, 6.7028, 6.7028 Å; angles 60.00, 60.00, 60.00 degrees
Sites, in units of the cell vectors:
Al 0.0000 0.0000 0.0000
Sb 0.0000 0.0000 0.5000
Sb 0.0000 0.5000 0.0000
Sb 0.0000 0.5000 0.5000
Sb 0.5000 0.0000 0.0000
Sb 0.5000 0.0000 0.5000
Sb 0.5000 0.5000 0.0000
Sb 0.5000 0.5000 0.5000

Top 8 peaks for 10° ≤ 2θ ≤ 90°, by angle:
| Position (°2θ) | I_rel |
| --- | --- |
| 16.2 | 6 |
| 31.3 | 4 |
| 32.7 | 100 |
| 38.0 | 50 |
| 54.8 | 34 |
| 65.3 | 39 |
| 68.6 | 11 |
| 81.2 | 5 |

=====

Starting from a PBE-relaxed structure, the X-ray powder pattern of Li2CaTa2O7 was calculated for Cu Kα X-rays.
No peak broadening, texture or thermal motion is included.

Atomic structure:
Cell lengths 9.6719, 9.6719, 9.6719 Å; angles 156.39, 156.39, 33.63 degrees
Sites, in units of the cell vectors:
Li 0.2500 0.7500 0.5000
Li 0.7500 0.2500 0.5000
Ca 0.0000 0.0000 0.0000
Ta 0.3881 0.3881 0.0000
Ta 0.6119 0.6119 0.0000
O 0.0999 0.5999 0.5000
O 0.2853 0.2853 0.0000
O 0.4001 0.9001 0.5000
O 0.5000 0.5000 0.0000
O 0.5999 0.0999 0.5000
O 0.7147 0.7147 0.0000
O 0.9001 0.4001 0.5000

Top 8 peaks for 10° ≤ 2θ ≤ 90°, by angle:
| Position (°2θ) | I_rel |
| --- | --- |
| 19.2 | 53 |
| 23.0 | 100 |
| 26.8 | 57 |
| 32.0 | 47 |
| 33.1 | 66 |
| 45.9 | 33 |
| 57.7 | 29 |
| 70.2 | 27 |

=====

Starting from a PBE-relaxed structure, the X-ray powder pattern of TbCe4Bi6 was calculated for Cu Kα X-rays.
No peak broadening, texture or thermal motion is included.

Atomic structure:
Cell lengths 8.9861, 8.9861, 8.9861 Å; angles 88.67, 88.67, 88.67 degrees
Sites, in units of the cell vectors:
Tb 0.0000 0.0000 0.0000
Tb 0.5000 0.5000 0.5000
Ce 0.1394 0.7500 0.3606
Ce 0.2500 0.2500 0.2500
Ce 0.2500 0.6394 0.8606
Ce 0.3606 0.1394 0.7500
Ce 0.6394 0.8606 0.2500
Ce 0.7500 0.3606 0.1394
Ce 0.7500 0.7500 0.7500
Ce 0.8606 0.2500 0.6394
Bi 0.0656 0.9208 0.6723
Bi 0.0792 0.3277 0.9344
Bi 0.1723 0.4208 0.5656
Bi 0.3277 0.9344 0.0792
Bi 0.4208 0.5656 0.1723
Bi 0.4344 0.8277 0.5792
Bi 0.5656 0.1723 0.4208
Bi 0.5792 0.4344 0.8277
Bi 0.6723 0.0656 0.9208
Bi 0.8277 0.5792 0.4344
Bi 0.9208 0.6723 0.0656
Bi 0.9344 0.0792 0.3277

Top 8 peaks for 10° ≤ 2θ ≤ 90°, by angle:
| Position (°2θ) | I_rel |
| --- | --- |
| 27.8 | 39 |
| 30.2 | 97 |
| 31.3 | 100 |
| 33.2 | 97 |
| 35.7 | 31 |
| 37.9 | 44 |
| 60.7 | 49 |
| 64.4 | 28 |

=====

Starting from a PBE-relaxed structure, the X-ray powder pattern of Sr4MgPa3P8 was calculated for Cu Kα X-rays.
No peak broadening, texture or thermal motion is included.

Atomic structure:
Cell lengths 8.3780, 8.3780, 8.3780 Å; angles 58.98, 58.98, 58.98 degrees
Sites, in units of the cell vectors:
Sr 0.0000 0.0000 0.0000
Sr 0.0000 0.5000 0.5000
Sr 0.5000 0.0000 0.5000
Sr 0.5000 0.5000 0.0000
Mg 0.5000 0.5000 0.5000
Pa 0.0000 0.0000 0.5000
Pa 0.0000 0.5000 0.0000
Pa 0.5000 0.0000 0.0000
P 0.2297 0.7413 0.7413
P 0.2383 0.2383 0.2383
P 0.2587 0.2587 0.7703
P 0.2587 0.7703 0.2587
P 0.7413 0.2297 0.7413
P 0.7413 0.7413 0.2297
P 0.7617 0.7617 0.7617
P 0.7703 0.2587 0.2587

Top 8 peaks for 10° ≤ 2θ ≤ 90°, by angle:
| Position (°2θ) | I_rel |
| --- | --- |
| 12.8 | 24 |
| 25.9 | 20 |
| 26.4 | 55 |
| 30.4 | 100 |
| 43.2 | 36 |
| 43.9 | 37 |
| 51.7 | 20 |
| 54.4 | 19 |

=====

Starting from a PBE-relaxed structure, the X-ray powder pattern of DyPuAg2O6 was calculated for Cu Kα X-rays.
No peak broadening, texture or thermal motion is included.

Atomic structure:
Cell lengths 5.9602, 5.9602, 5.9602 Å; angles 58.01, 58.01, 58.01 degrees
Sites, in units of the cell vectors:
Dy 0.0000 0.0000 0.0000
Pu 0.5000 0.5000 0.5000
Ag 0.2551 0.2551 0.2551
Ag 0.7449 0.7449 0.7449
O 0.1652 0.7306 0.3649
O 0.2694 0.6351 0.8348
O 0.3649 0.1652 0.7306
O 0.6351 0.8348 0.2694
O 0.7306 0.3649 0.1652
O 0.8348 0.2694 0.6351

Top 8 peaks for 10° ≤ 2θ ≤ 90°, by angle:
| Position (°2θ) | I_rel |
| --- | --- |
| 21.4 | 23 |
| 30.0 | 100 |
| 30.9 | 86 |
| 43.6 | 45 |
| 52.7 | 20 |
| 54.5 | 39 |
| 55.0 | 22 |
| 71.3 | 17 |

=====

Starting from a PBE-relaxed structure, the X-ray powder pattern of Ac5LaPt3 was calculated for Cu Kα X-rays.
No peak broadening, texture or thermal motion is included.

Atomic structure:
Cell lengths 7.3307, 4.3961, 21.4203 Å; angles 90.00, 91.03, 90.00 degrees
Sites, in units of the cell vectors:
Ac 0.1622 0.0000 0.2533
Ac 0.1644 0.0000 0.9206
Ac 0.1695 0.0000 0.5895
Ac 0.3336 0.5000 0.4201
Ac 0.3353 0.5000 0.0902
Ac 0.6647 0.5000 0.9098
Ac 0.6664 0.5000 0.5799
Ac 0.8305 0.0000 0.4105
Ac 0.8356 0.0000 0.0794
Ac 0.8378 0.0000 0.7467
La 0.3324 0.5000 0.7560
La 0.6676 0.5000 0.2440
Pt 0.0000 0.5000 0.0000
Pt 0.0073 0.5000 0.6686
Pt 0.4920 0.0000 0.8299
Pt 0.5000 0.0000 0.5000
Pt 0.5080 0.0000 0.1701
Pt 0.9927 0.5000 0.3314

Top 8 peaks for 10° ≤ 2θ ≤ 90°, by angle:
| Position (°2θ) | I_rel |
| --- | --- |
| 17.5 | 58 |
| 26.6 | 100 |
| 26.8 | 97 |
| 27.2 | 48 |
| 27.6 | 49 |
| 34.4 | 78 |
| 34.8 | 94 |
| 42.3 | 85 |